(1)
Theoretical PXRD pattern of NaScAgTe2 for λ = 1.5418 Å (Cu Kα), from a PBE-relaxed structure.
Peak positions follow from Bragg's law for the DFT cell and can differ from measured ones.

Structure:
```
data_NaScAgTe2
_chemical_formula_sum 'Na2 Sc2 Ag2 Te4'
_cell_length_a 7.5639
_cell_length_b 4.9945
_cell_length_c 7.8110
_cell_angle_alpha 90.00
_cell_angle_beta 98.24
_cell_angle_gamma 90.00
_symmetry_space_group_name_H-M 'P 1'
_symmetry_Int_Tables_number 1
_symmetry_space_group_name_Hall 'P 1'
loop_
_atom_site_label
_atom_site_type_symbol
_atom_site_fract_x
_atom_site_fract_y
_atom_site_fract_z
_atom_site_occupancy
Na1 Na 0.0000 0.1154 0.2500 1
Na2 Na 0.0000 0.8846 0.7500 1
Sc1 Sc 0.5000 0.4984 0.7500 1
Sc2 Sc 0.5000 0.5016 0.2500 1
Ag1 Ag 0.5000 0.0000 0.0000 1
Ag2 Ag 0.5000 0.0000 0.5000 1
Te1 Te 0.2286 0.3649 0.9637 1
Te2 Te 0.2286 0.6351 0.4637 1
Te3 Te 0.7714 0.3649 0.5363 1
Te4 Te 0.7714 0.6351 0.0363 1
```

Peak list (12 most intense, 2θ from 10° to 90°, sorted by position)
d_spacing, 2θ (°), I/Imax
7.486, 11.8, 68
3.865, 23.0, 100
3.787, 23.5, 77
3.654, 24.4, 36
3.544, 25.1, 84
2.995, 29.8, 88
2.724, 32.9, 82
2.511, 35.8, 91
2.496, 36.0, 31
2.293, 39.3, 63
2.246, 40.1, 47
2.076, 43.6, 30

(2)
Theoretical PXRD pattern of Na14Ag2Se9 for λ = 1.5418 Å (Cu Kα), from a PBE-relaxed structure.
Peak positions follow from Bragg's law for the DFT cell and can differ from measured ones.

Structure:
```
data_Na14Ag2Se9
_chemical_formula_sum 'Na14 Ag2 Se9'
_cell_length_a 8.3508
_cell_length_b 8.3508
_cell_length_c 11.5259
_cell_angle_alpha 90.00
_cell_angle_beta 90.00
_cell_angle_gamma 120.00
_symmetry_space_group_name_H-M 'P 1'
_symmetry_Int_Tables_number 1
_symmetry_space_group_name_Hall 'P 1'
loop_
_atom_site_label
_atom_site_type_symbol
_atom_site_fract_x
_atom_site_fract_y
_atom_site_fract_z
_atom_site_occupancy
Na1 Na 0.0000 0.0000 0.2475 1
Na2 Na 0.0000 0.0000 0.7525 1
Na3 Na 0.0152 0.6682 0.4090 1
Na4 Na 0.0477 0.3729 0.0968 1
Na5 Na 0.3252 0.9523 0.0968 1
Na6 Na 0.3318 0.3470 0.4090 1
Na7 Na 0.3470 0.0152 0.5910 1
Na8 Na 0.3729 0.3252 0.9032 1
Na9 Na 0.6271 0.6748 0.0968 1
Na10 Na 0.6530 0.9848 0.4090 1
Na11 Na 0.6682 0.6530 0.5910 1
Na12 Na 0.6748 0.0477 0.9032 1
Na13 Na 0.9523 0.6271 0.9032 1
Na14 Na 0.9848 0.3318 0.5910 1
Ag1 Ag 0.3333 0.6667 0.7575 1
Ag2 Ag 0.6667 0.3333 0.2425 1
Se1 Se 0.0000 0.0000 0.5000 1
Se2 Se 0.0435 0.3473 0.8399 1
Se3 Se 0.3038 0.9565 0.8399 1
Se4 Se 0.3333 0.6667 0.5224 1
Se5 Se 0.3473 0.3038 0.1601 1
Se6 Se 0.6527 0.6962 0.8399 1
Se7 Se 0.6667 0.3333 0.4776 1
Se8 Se 0.6962 0.0435 0.1601 1
Se9 Se 0.9565 0.6527 0.1601 1
```

Peak list (12 most intense, 2θ from 10° to 90°, sorted by position)
d_spacing, 2θ (°), I/Imax
6.126, 14.5, 78
3.926, 22.7, 100
3.842, 23.2, 39
3.388, 26.3, 12
2.660, 33.7, 21
2.411, 37.3, 82
2.372, 37.9, 85
2.054, 44.1, 13
2.042, 44.4, 32
1.976, 45.9, 15
1.691, 54.3, 25
1.384, 67.7, 21

(3)
Theoretical PXRD pattern of NaTaAg2Se4 for λ = 1.5418 Å (Cu Kα), from a PBE-relaxed structure.
Peak positions follow from Bragg's law for the DFT cell and can differ from measured ones.

Structure:
```
data_NaTaAg2Se4
_chemical_formula_sum 'Na1 Ta1 Ag2 Se4'
_cell_length_a 6.6750
_cell_length_b 6.6750
_cell_length_c 6.6750
_cell_angle_alpha 119.39
_cell_angle_beta 110.01
_cell_angle_gamma 99.62
_symmetry_space_group_name_H-M 'P 1'
_symmetry_Int_Tables_number 1
_symmetry_space_group_name_Hall 'P 1'
loop_
_atom_site_label
_atom_site_type_symbol
_atom_site_fract_x
_atom_site_fract_y
_atom_site_fract_z
_atom_site_occupancy
Na1 Na 0.0000 0.0000 0.0000 1
Ta1 Ta 0.5000 0.0000 0.5000 1
Ag1 Ag 0.3119 0.5000 0.8119 1
Ag2 Ag 0.6881 0.5000 0.1881 1
Se1 Se 0.1392 0.6362 0.1191 1
Se2 Se 0.4829 0.3638 0.5030 1
Se3 Se 0.5171 0.0201 0.8809 1
Se4 Se 0.8608 0.9799 0.4970 1
```

Peak list (12 most intense, 2θ from 10° to 90°, sorted by position)
d_spacing, 2θ (°), I/Imax
5.723, 15.5, 100
4.308, 20.6, 19
3.279, 27.2, 34
3.105, 28.8, 73
2.903, 30.8, 30
2.653, 33.8, 54
2.174, 41.5, 41
2.101, 43.0, 19
2.088, 43.3, 32
1.890, 48.2, 27
1.815, 50.3, 15
1.685, 54.4, 21

(4)
Theoretical PXRD pattern of NaAgTeSe2 for λ = 1.5418 Å (Cu Kα), from a PBE-relaxed structure.
Peak positions follow from Bragg's law for the DFT cell and can differ from measured ones.

Structure:
```
data_NaAgTeSe2
_chemical_formula_sum 'Na2 Ag2 Te2 Se4'
_cell_length_a 8.0747
_cell_length_b 8.0747
_cell_length_c 5.3748
_cell_angle_alpha 90.00
_cell_angle_beta 90.00
_cell_angle_gamma 132.95
_symmetry_space_group_name_H-M 'P 1'
_symmetry_Int_Tables_number 1
_symmetry_space_group_name_Hall 'P 1'
loop_
_atom_site_label
_atom_site_type_symbol
_atom_site_fract_x
_atom_site_fract_y
_atom_site_fract_z
_atom_site_occupancy
Na1 Na 0.2500 0.7500 0.7602 1
Na2 Na 0.7500 0.2500 0.2398 1
Ag1 Ag 0.0000 0.0000 0.5000 1
Ag2 Ag 0.5000 0.5000 0.5000 1
Te1 Te 0.2500 0.2500 0.0000 1
Te2 Te 0.7500 0.7500 0.0000 1
Se1 Se 0.1647 0.8353 0.2581 1
Se2 Se 0.3353 0.6647 0.2581 1
Se3 Se 0.6647 0.3353 0.7419 1
Se4 Se 0.8353 0.1647 0.7419 1
```

Peak list (12 most intense, 2θ from 10° to 90°, sorted by position)
d_spacing, 2θ (°), I/Imax
7.404, 12.0, 100
3.976, 22.4, 69
3.702, 24.0, 34
2.764, 32.4, 62
2.589, 34.6, 96
2.526, 35.5, 92
2.468, 36.4, 52
2.406, 37.4, 39
2.215, 40.7, 59
2.175, 41.5, 47
1.841, 49.5, 38
1.359, 69.1, 25

(5)
Theoretical PXRD pattern of Na3U2AgSe6 for λ = 1.5418 Å (Cu Kα), from a PBE-relaxed structure.
Peak positions follow from Bragg's law for the DFT cell and can differ from measured ones.

Structure:
```
data_Na3U2AgSe6
_chemical_formula_sum 'Na3 U2 Ag1 Se6'
_cell_length_a 7.1587
_cell_length_b 7.1587
_cell_length_c 7.3868
_cell_angle_alpha 99.33
_cell_angle_beta 99.33
_cell_angle_gamma 119.92
_symmetry_space_group_name_H-M 'P 1'
_symmetry_Int_Tables_number 1
_symmetry_space_group_name_Hall 'P 1'
loop_
_atom_site_label
_atom_site_type_symbol
_atom_site_fract_x
_atom_site_fract_y
_atom_site_fract_z
_atom_site_occupancy
Na1 Na 0.0000 0.0000 0.0000 1
Na2 Na 0.3394 0.6606 0.0000 1
Na3 Na 0.6606 0.3394 0.0000 1
U1 U 0.1673 0.8327 0.5000 1
U2 U 0.8327 0.1673 0.5000 1
Ag1 Ag 0.5000 0.5000 0.5000 1
Se1 Se 0.0759 0.4227 0.2695 1
Se2 Se 0.2302 0.2302 0.7307 1
Se3 Se 0.4227 0.0759 0.2695 1
Se4 Se 0.5773 0.9241 0.7305 1
Se5 Se 0.7698 0.7698 0.2693 1
Se6 Se 0.9241 0.5773 0.7305 1
```

Peak list (12 most intense, 2θ from 10° to 90°, sorted by position)
d_spacing, 2θ (°), I/Imax
6.989, 12.7, 61
3.530, 25.2, 28
2.957, 30.2, 100
2.723, 32.9, 10
2.298, 39.2, 16
2.115, 42.8, 37
2.067, 43.8, 36
1.983, 45.7, 11
1.694, 54.1, 19
1.478, 62.9, 12
1.335, 70.6, 16
1.311, 72.0, 11

(6)
Theoretical PXRD pattern of NaVAg2Se4 for λ = 1.5418 Å (Cu Kα), from a PBE-relaxed structure.
Peak positions follow from Bragg's law for the DFT cell and can differ from measured ones.

Structure:
```
data_NaVAg2Se4
_chemical_formula_sum 'Na1 V1 Ag2 Se4'
_cell_length_a 7.0515
_cell_length_b 7.0381
_cell_length_c 6.3476
_cell_angle_alpha 63.33
_cell_angle_beta 63.11
_cell_angle_gamma 53.55
_symmetry_space_group_name_H-M 'P 1'
_symmetry_Int_Tables_number 1
_symmetry_space_group_name_Hall 'P 1'
loop_
_atom_site_label
_atom_site_type_symbol
_atom_site_fract_x
_atom_site_fract_y
_atom_site_fract_z
_atom_site_occupancy
Na1 Na 0.0000 0.0000 0.0000 1
V1 V 0.4973 0.4973 0.5027 1
Ag1 Ag 0.2480 0.2480 0.2520 1
Ag2 Ag 0.7480 0.7480 0.7520 1
Se1 Se 0.1642 0.5870 0.8358 1
Se2 Se 0.4089 0.8292 0.1708 1
Se3 Se 0.5870 0.1642 0.4130 1
Se4 Se 0.8292 0.4089 0.5911 1
```

Peak list (12 most intense, 2θ from 10° to 90°, sorted by position)
d_spacing, 2θ (°), I/Imax
5.480, 16.2, 12
5.430, 16.3, 7
4.488, 19.8, 9
3.459, 25.8, 100
2.740, 32.7, 11
2.249, 40.1, 12
2.238, 40.3, 15
2.063, 43.9, 43
1.885, 48.3, 13
1.880, 48.4, 13
1.679, 54.7, 11
1.587, 58.1, 7

(7)
Theoretical PXRD pattern of NaZrAg2Se4 for λ = 1.5418 Å (Cu Kα), from a PBE-relaxed structure.
Peak positions follow from Bragg's law for the DFT cell and can differ from measured ones.

Structure:
```
data_NaZrAg2Se4
_chemical_formula_sum 'Na1 Zr1 Ag2 Se4'
_cell_length_a 6.6372
_cell_length_b 6.6372
_cell_length_c 6.6372
_cell_angle_alpha 119.10
_cell_angle_beta 115.85
_cell_angle_gamma 94.46
_symmetry_space_group_name_H-M 'P 1'
_symmetry_Int_Tables_number 1
_symmetry_space_group_name_Hall 'P 1'
loop_
_atom_site_label
_atom_site_type_symbol
_atom_site_fract_x
_atom_site_fract_y
_atom_site_fract_z
_atom_site_occupancy
Na1 Na 0.0000 0.0000 0.0000 1
Zr1 Zr 0.5000 0.5000 0.0000 1
Ag1 Ag 0.3362 0.8362 0.5000 1
Ag2 Ag 0.6638 0.1638 0.5000 1
Se1 Se 0.1146 0.1403 0.5536 1
Se2 Se 0.4133 0.8597 0.9743 1
Se3 Se 0.5867 0.5610 0.4464 1
Se4 Se 0.8854 0.4390 0.0257 1
```

Peak list (12 most intense, 2θ from 10° to 90°, sorted by position)
d_spacing, 2θ (°), I/Imax
5.553, 16.0, 53
3.307, 27.0, 100
2.877, 31.1, 22
2.744, 32.6, 11
2.433, 36.9, 61
2.165, 41.7, 30
2.045, 44.3, 16
1.990, 45.6, 23
1.931, 47.1, 16
1.797, 50.8, 15
1.762, 51.9, 12
1.278, 74.2, 12

(8)
Theoretical PXRD pattern of NaSiAg for λ = 1.5418 Å (Cu Kα), from a PBE-relaxed structure.
Peak positions follow from Bragg's law for the DFT cell and can differ from measured ones.

Structure:
```
data_NaSiAg
_chemical_formula_sum 'Na2 Si2 Ag2'
_cell_length_a 3.8794
_cell_length_b 5.6677
_cell_length_c 6.6543
_cell_angle_alpha 72.98
_cell_angle_beta 73.33
_cell_angle_gamma 89.84
_symmetry_space_group_name_H-M 'P 1'
_symmetry_Int_Tables_number 1
_symmetry_space_group_name_Hall 'P 1'
loop_
_atom_site_label
_atom_site_type_symbol
_atom_site_fract_x
_atom_site_fract_y
_atom_site_fract_z
_atom_site_occupancy
Na1 Na 0.1137 0.3013 0.2733 1
Na2 Na 0.8863 0.6987 0.7267 1
Si1 Si 0.2365 0.8673 0.0273 1
Si2 Si 0.7635 0.1327 0.9727 1
Ag1 Ag 0.4131 0.2820 0.6748 1
Ag2 Ag 0.5869 0.7180 0.3252 1
```

Peak list (12 most intense, 2θ from 10° to 90°, sorted by position)
d_spacing, 2θ (°), I/Imax
4.831, 18.4, 100
3.695, 24.1, 48
3.190, 28.0, 26
2.733, 32.8, 85
2.699, 33.2, 30
2.415, 37.2, 19
2.357, 38.2, 17
2.303, 39.1, 27
2.289, 39.4, 27
2.024, 44.8, 17
1.940, 46.8, 19
1.889, 48.2, 26

Copy entry 3 word for word.
Theoretical PXRD pattern of NaTaAg2Se4 for λ = 1.5418 Å (Cu Kα), from a PBE-relaxed structure.
Peak positions follow from Bragg's law for the DFT cell and can differ from measured ones.

Structure:
```
data_NaTaAg2Se4
_chemical_formula_sum 'Na1 Ta1 Ag2 Se4'
_cell_length_a 6.6750
_cell_length_b 6.6750
_cell_length_c 6.6750
_cell_angle_alpha 119.39
_cell_angle_beta 110.01
_cell_angle_gamma 99.62
_symmetry_space_group_name_H-M 'P 1'
_symmetry_Int_Tables_number 1
_symmetry_space_group_name_Hall 'P 1'
loop_
_atom_site_label
_atom_site_type_symbol
_atom_site_fract_x
_atom_site_fract_y
_atom_site_fract_z
_atom_site_occupancy
Na1 Na 0.0000 0.0000 0.0000 1
Ta1 Ta 0.5000 0.0000 0.5000 1
Ag1 Ag 0.3119 0.5000 0.8119 1
Ag2 Ag 0.6881 0.5000 0.1881 1
Se1 Se 0.1392 0.6362 0.1191 1
Se2 Se 0.4829 0.3638 0.5030 1
Se3 Se 0.5171 0.0201 0.8809 1
Se4 Se 0.8608 0.9799 0.4970 1
```

Peak list (12 most intense, 2θ from 10° to 90°, sorted by position)
d_spacing, 2θ (°), I/Imax
5.723, 15.5, 100
4.308, 20.6, 19
3.279, 27.2, 34
3.105, 28.8, 73
2.903, 30.8, 30
2.653, 33.8, 54
2.174, 41.5, 41
2.101, 43.0, 19
2.088, 43.3, 32
1.890, 48.2, 27
1.815, 50.3, 15
1.685, 54.4, 21